Structure and theoretical PXRD pattern of NdS (a structure optimized by DFT (GGA-PBE); Cu Ka).

Peak list (6 most intense, 15° ≤ 2θ ≤ 90°, by angle)
| index | 2θ/deg | d/Å | I/Imax |
| --- | --- | --- | --- |
| 1 0 1 | 26.9 | 3.319 | 74 |
| 0 1 2 | 31.1 | 2.874 | 100 |
| 1 1 0 | 44.6 | 2.033 | 72 |
| 1 1 3 | 52.8 | 1.733 | 37 |
| 2 0 2 | 55.4 | 1.660 | 25 |
| 1 2 2 | 73.7 | 1.285 | 32 |

Cell and atoms:
Cell lengths 4.0639, 4.0639, 9.9634 Å; angles 90.00, 90.00, 120.00 degrees
Space group P-3m1 (No. 164)
One atom of each set of equivalent atoms:
1 Nd 0.0000 0.0000 0.0000 x1
2 Nd 0.3333 0.6667 0.6672 x2
3 S 0.0000 0.0000 0.5000 x1
4 S 0.3333 0.6667 0.1665 x2